No. 1
This entry pairs a crystal structure of U2Tc3Ge with its theoretical powder diffractogram. Radiation: copper Kα. Structure: a DFT-relaxed cell (GGA-PBE, Alexandria).
Neutral-atom scattering factors, no anomalous dispersion.

Structure:
```
U2Tc3Ge
1.0
2.7267 1.5743 4.0777
-2.7267 1.5743 4.0777
0.0000 -3.1486 4.0777
U Tc Ge
2 3 1
direct
0.1102 0.1102 0.1102 U
0.8898 0.8898 0.8898 U
0.0000 0.5000 0.5000 Tc
0.5000 0.0000 0.5000 Tc
0.5000 0.5000 0.0000 Tc
0.5000 0.5000 0.5000 Ge
```

Most intense lines, 2θ = 10–90°, by angle:
2θ/deg  Rel. int.
20.15  43
32.85  87
34.95  81
38.84  100
39.77  89
40.97  55
41.57  92
64.63  51

No. 2
This entry pairs a crystal structure of CePr8Er2 with its theoretical powder diffractogram. Radiation: copper Kα. Structure: a DFT-relaxed cell (GGA-PBE, Alexandria).
Neutral-atom scattering factors, no anomalous dispersion.

Structure:
```
CePr8Er2
1.0
-2.8748 4.1508 8.0597
2.8748 -4.1508 8.0597
2.8748 4.1508 -8.0597
Ce Pr Er
1 8 2
direct
0.0000 0.0000 0.0000 Ce
0.1567 0.8643 0.2924 Pr
0.1632 0.6632 0.5000 Pr
0.2886 0.5000 0.7886 Pr
0.4281 0.1357 0.2924 Pr
0.5719 0.8643 0.7076 Pr
0.7114 0.5000 0.2114 Pr
0.8368 0.3368 0.5000 Pr
0.8433 0.1357 0.7076 Pr
0.3002 0.3002 0.0000 Er
0.6998 0.6998 0.0000 Er
```

Most intense lines, 2θ = 10–90°, by angle:
2θ/deg  Rel. int.
29.12  25
31.11  36
31.36  100
31.82  18
33.35  12
55.51  20
61.52  11
62.63  11

No. 3
This entry pairs a crystal structure of RbYAgO3 with its theoretical powder diffractogram. Radiation: copper Kα. Structure: a DFT-relaxed cell (GGA-PBE, Alexandria).
Neutral-atom scattering factors, no anomalous dispersion.

Structure:
```
RbYAgO3
1.0
7.0966 0.0000 0.0000
0.0000 3.5742 0.0000
-3.5067 0.0000 9.3571
Rb Y Ag O
2 2 2 6
direct
0.2481 0.2500 0.2509 Rb
0.7519 0.7500 0.7491 Rb
0.3308 0.7500 0.8649 Y
0.6692 0.2500 0.1351 Y
0.1410 0.2500 0.5756 Ag
0.8590 0.7500 0.4244 Ag
0.1057 0.2500 0.7993 O
0.3022 0.7500 0.6138 O
0.4454 0.7500 0.1005 O
0.5546 0.2500 0.8995 O
0.6978 0.2500 0.3862 O
0.8943 0.7500 0.2007 O
```

Most intense lines, 2θ = 10–90°, by angle:
2θ/deg  Rel. int.
13.36  100
26.89  78
26.98  45
31.47  89
35.84  29
36.95  60
52.47  22
58.70  27

No. 4
This entry pairs a crystal structure of Sc2Si3Pt4 with its theoretical powder diffractogram. Radiation: copper Kα. Structure: a DFT-relaxed cell (GGA-PBE, Alexandria).
Neutral-atom scattering factors, no anomalous dispersion.

Structure:
```
Sc2Si3Pt4
1.0
2.7340 -7.3171 0.0000
2.7340 7.3171 0.0000
0.0000 0.0000 7.2017
Sc Si Pt
4 6 8
direct
0.1019 0.8981 0.8965 Sc
0.3981 0.6019 0.3965 Sc
0.6019 0.3981 0.6035 Sc
0.8981 0.1019 0.1035 Sc
0.0000 0.0000 0.5000 Si
0.0145 0.4855 0.7500 Si
0.4855 0.0145 0.2500 Si
0.5000 0.5000 0.0000 Si
0.5145 0.9855 0.7500 Si
0.9855 0.5145 0.2500 Si
0.1794 0.8206 0.5248 Pt
0.1870 0.3130 0.7500 Pt
0.3130 0.1870 0.2500 Pt
0.3206 0.6794 0.0248 Pt
0.6794 0.3206 0.9752 Pt
0.6870 0.8130 0.7500 Pt
0.8130 0.6870 0.2500 Pt
0.8206 0.1794 0.4752 Pt
```

Most intense lines, 2θ = 10–90°, by angle:
2θ/deg  Rel. int.
27.34  56
27.45  72
27.61  59
35.03  38
37.01  54
37.26  48
41.48  100
44.89  43

No. 5
This entry pairs a crystal structure of Sr2LiAg3As4 with its theoretical powder diffractogram. Radiation: copper Kα. Structure: a DFT-relaxed cell (GGA-PBE, Alexandria).
Neutral-atom scattering factors, no anomalous dispersion.

Structure:
```
Sr2LiAg3As4
1.0
4.4153 0.0000 0.0000
0.0000 4.4153 0.0000
0.0000 0.0000 11.4773
Sr Li Ag As
2 1 3 4
direct
0.0000 0.5000 0.2402 Sr
0.5000 0.0000 0.7598 Sr
0.5000 0.5000 0.0000 Li
0.0000 0.0000 0.0000 Ag
0.0000 0.5000 0.6391 Ag
0.5000 0.0000 0.3609 Ag
0.0000 0.0000 0.5000 As
0.0000 0.5000 0.8643 As
0.5000 0.0000 0.1357 As
0.5000 0.5000 0.5000 As
```

Most intense lines, 2θ = 10–90°, by angle:
2θ/deg  Rel. int.
21.56  27
30.93  67
32.65  100
40.88  71
42.80  38
44.48  45
52.13  31
61.99  33

No. 6
This entry pairs a crystal structure of VGa4Bi2 with its theoretical powder diffractogram. Radiation: copper Kα. Structure: a DFT-relaxed cell (GGA-PBE, Alexandria).
Neutral-atom scattering factors, no anomalous dispersion.

Structure:
```
VGa4Bi2
1.0
-2.5017 2.5017 7.2279
2.5017 -2.5017 7.2279
2.5017 2.5017 -7.2279
V Ga Bi
1 4 2
direct
0.0000 0.0000 0.0000 V
0.0000 0.5000 0.5000 Ga
0.1742 0.1742 0.0000 Ga
0.5000 0.0000 0.5000 Ga
0.8258 0.8258 0.0000 Ga
0.3691 0.3691 0.0000 Bi
0.6309 0.6309 0.0000 Bi
```

Most intense lines, 2θ = 10–90°, by angle:
2θ/deg  Rel. int.
18.77  28
25.17  61
25.67  28
28.08  20
35.51  73
35.89  100
51.66  47
64.27  27

No. 7
This entry pairs a crystal structure of Fe3Hg2 with its theoretical powder diffractogram. Radiation: copper Kα. Structure: a DFT-relaxed cell (GGA-PBE, Alexandria).
Neutral-atom scattering factors, no anomalous dispersion.

Structure:
```
Fe3Hg2
1.0
5.0350 -1.5478 0.0000
5.0350 1.5478 0.0000
-5.0277 0.0000 5.0544
Fe Hg
3 2
direct
0.0000 0.0000 0.0000 Fe
0.3838 0.3838 0.1421 Fe
0.6162 0.6162 0.8579 Fe
0.1877 0.1877 0.6030 Hg
0.8123 0.8123 0.3970 Hg
```

Most intense lines, 2θ = 10–90°, by angle:
2θ/deg  Rel. int.
17.55  20
24.95  17
31.51  29
39.91  40
40.03  22
40.61  100
72.92  16
74.31  20

No. 8
This entry pairs a crystal structure of Hf3HPt2 with its theoretical powder diffractogram. Radiation: copper Kα. Structure: a DFT-relaxed cell (GGA-PBE, Alexandria).
Neutral-atom scattering factors, no anomalous dispersion.

Structure:
```
Hf3HPt2
1.0
5.9844 -2.7607 0.0000
5.9844 2.7607 0.0000
-0.9312 0.0000 6.2980
Hf H Pt
6 2 4
direct
0.1153 0.8847 0.7500 Hf
0.2524 0.4549 0.3443 Hf
0.4549 0.2524 0.8443 Hf
0.5451 0.7476 0.1557 Hf
0.7476 0.5451 0.6557 Hf
0.8847 0.1153 0.2500 Hf
0.4728 0.5272 0.7500 H
0.5272 0.4728 0.2500 H
0.0671 0.2598 0.0140 Pt
0.2598 0.0671 0.5140 Pt
0.7402 0.9329 0.4860 Pt
0.9329 0.7402 0.9860 Pt
```

Most intense lines, 2θ = 10–90°, by angle:
2θ/deg  Rel. int.
29.69  39
34.15  77
35.50  68
37.55  100
37.86  41
39.57  73
45.82  43
45.99  47